Computed PXRD pattern
Compound: TbSi4B18C
Radiation: CuKα
Structure: a PBE-relaxed structure
Kinematic intensities with the Lorentz-polarization factor, no thermal factor.

Atomic structure:
Cell: 12.3064 10.0227 7.9089 Å, 90.00 105.00 90.00°
Space group C2/m (No. 12)
Asymmetric unit:
Tb 0.2500 0.2500 0.0000 (multiplicity 4)
Si 0.0384 0.1934 0.7549 (multiplicity 8)
Si 0.0712 0.0000 0.9277 (multiplicity 4)
Si 0.2358 0.0000 0.1620 (multiplicity 4)
B 0.0124 0.5000 0.2303 (multiplicity 4)
B 0.0342 0.3565 0.9128 (multiplicity 8)
B 0.1090 0.4105 0.1277 (multiplicity 8)
B 0.1186 0.2044 0.3949 (multiplicity 8)
B 0.1236 0.5000 0.9372 (multiplicity 4)
B 0.1422 0.3705 0.4877 (multiplicity 8)
B 0.1579 0.2189 0.6247 (multiplicity 8)
B 0.1963 0.3240 0.3025 (multiplicity 8)
B 0.2127 0.0851 0.5221 (multiplicity 8)
B 0.2387 0.1538 0.3273 (multiplicity 8)
C 0.0516 0.5000 0.4492 (multiplicity 4)

Largest 8 diffraction maxima, in order of rising 2θ, 2θ from 5° to 70°:
index  Position (°2θ)  I_rel
0 0 1  11.58  100.0
2 0 0  14.91  54.4
0 2 0  17.70  44.3
2 2 0  23.24  56.0
2 0 -2  24.20  89.3
4 0 0  30.13  59.5
4 0 1  35.13  43.3
2 4 -1  39.61  44.1